LaTmCN2O2: simulated XRD peak list (Cu Kα (weighted mean of Kα1 and Kα2)), based on a cell relaxed with PBE.

Atomic structure:
a = 3.8070 Å, b = 3.8070 Å, c = 8.2263 Å
α = 90.00°, β = 90.00°, γ = 120.00°
Space group P3m1 (No. 156)
One atom of each set of equivalent atoms:
La1 0.0000 0.0000 0.0000
Tm1 0.6667 0.3333 0.6414
C1 0.3333 0.6667 0.3287
N1 0.3333 0.6667 0.1782
N2 0.3333 0.6667 0.4786
O1 0.0000 0.0000 0.7046
O2 0.6667 0.3333 0.9091

Main lines, most intense first (15 to 90 degrees two-theta):
index	2theta	I (rel.)
0 1 1	29.18	100
1 0 2	34.88	42
1 1 0	47.78	29
0 1 4	52.44	24
0 1 3	42.90	21
1 1 3	59.08	20
0 0 2	21.61	19
0 0 3	32.66	18
1 0 0	27.05	17
2 0 1	56.97	15
1 2 1	77.47	12
1 1 2	53.01	11

CdAgSeO: simulated XRD peak list (Cu Kα (weighted mean of Kα1 and Kα2)), based on a cell relaxed with PBE.

Atomic structure:
a = 3.6102 Å, b = 13.1033 Å, c = 6.2601 Å
α = 90.00°, β = 90.00°, γ = 90.00°
Space group Cmc2_1 (No. 36)
One atom of each set of equivalent atoms:
Cd1 0.0000 0.2065 0.0000
Ag1 0.0000 0.4968 0.1987
Se1 0.0000 0.1350 0.4422
O1 0.0000 0.3896 0.4527

Main lines, most intense first (15 to 90 degrees two-theta):
index	2theta	I (rel.)
1 3 0	32.17	100
0 2 2	31.68	69
1 1 2	38.69	59
1 3 1	35.30	44
1 5 2	52.09	28
0 4 2	39.83	24
2 2 2	60.90	23
2 0 0	50.57	22
0 6 1	43.91	19
1 3 4	68.83	14
0 4 1	30.81	12
1 5 1	45.14	12

Li5HgO4: simulated XRD peak list (Cu Kα (weighted mean of Kα1 and Kα2)), based on a cell relaxed with PBE.

Atomic structure:
a = 5.2734 Å, b = 3.3450 Å, c = 5.4475 Å
α = 90.00°, β = 93.36°, γ = 90.00°
Space group P2/m (No. 10)
One atom of each set of equivalent atoms:
Li1 0.0000 0.0000 0.0000
Li2 0.3499 0.5000 0.1584
Li3 0.3718 0.0000 0.6726
Hg1 0.0000 0.5000 0.5000
O1 0.2593 0.0000 0.3065
O2 0.2617 0.5000 0.8174

Main lines, most intense first (15 to 90 degrees two-theta):
index	2theta	I (rel.)
0 0 1	16.30	100
1 0 0	16.84	88
1 1 -1	35.36	59
1 0 -1	22.81	48
1 1 0	31.69	44
1 0 1	24.21	43
1 0 -2	36.30	35
0 1 0	26.65	33
0 1 1	31.40	33
0 1 3	57.85	24
2 1 -1	46.23	24
1 0 2	38.13	21